# 1
The following is a theoretical X-ray powder pattern of Hf4Te5H. It was derived from a GGA-PBE-relaxed structure, using CuKα.

Atomic structure:
abc: 8.838 8.838 8.210
angles: 102.88 102.88 24.63
Fractional positions:
Hf  0.001  0.001  0.265
Hf  0.383  0.383  0.442
Hf  0.617  0.617  0.558
Hf  0.999  0.999  0.735
Te  0.168  0.168  0.825
Te  0.169  0.169  0.339
Te  0.500  0.500  0.000
Te  0.831  0.831  0.661
Te  0.832  0.832  0.175
H  0.500  0.500  0.500

Main lines, sorted by position (2θ from 15° to 90°):
| 2θ/deg | Rel. int. |
| --- | --- |
| 21.5 | 12.8 |
| 32.0 | 33.2 |
| 32.2 | 100.0 |
| 34.3 | 15.0 |
| 34.6 | 15.4 |
| 35.6 | 12.4 |
| 35.8 | 28.0 |
| 44.1 | 23.5 |
| 45.9 | 15.8 |
| 46.2 | 15.9 |
| 48.3 | 16.4 |
| 67.5 | 13.3 |

=====

# 2
The following is a theoretical X-ray powder pattern of NaMgBr2Cl. It was derived from a GGA-PBE-relaxed structure, using CuKα.

Atomic structure:
abc: 6.905 6.905 9.609
angles: 90.00 90.00 146.96
Fractional positions:
Na  0.223  0.777  0.750
Na  0.777  0.223  0.250
Mg  0.500  0.500  0.000
Mg  0.500  0.500  0.500
Br  0.134  0.866  0.056
Br  0.134  0.866  0.444
Br  0.866  0.134  0.556
Br  0.866  0.134  0.944
Cl  0.431  0.569  0.250
Cl  0.569  0.431  0.750

Main lines, sorted by position (2θ from 15° to 90°):
| 2θ/deg | Rel. int. |
| --- | --- |
| 18.5 | 41.5 |
| 26.9 | 31.3 |
| 30.2 | 46.7 |
| 30.5 | 100.0 |
| 31.0 | 93.0 |
| 31.9 | 43.4 |
| 32.9 | 29.5 |
| 35.9 | 43.8 |
| 36.8 | 48.8 |
| 45.4 | 30.6 |
| 46.2 | 28.7 |
| 56.7 | 31.0 |

=====

# 3
The following is a theoretical X-ray powder pattern of AcNd2HoTm. It was derived from a GGA-PBE-relaxed structure, using CuKα.

Atomic structure:
abc: 6.436 5.892 9.845
angles: 90.00 108.78 90.00
Fractional positions:
Ac  0.137  0.250  0.105
Ac  0.863  0.750  0.895
Nd  0.267  0.750  0.700
Nd  0.338  0.250  0.502
Nd  0.662  0.750  0.498
Nd  0.733  0.250  0.300
Ho  0.477  0.750  0.105
Ho  0.523  0.250  0.895
Tm  0.065  0.750  0.308
Tm  0.935  0.250  0.692

Main lines, sorted by position (2θ from 15° to 90°):
| 2θ/deg | Rel. int. |
| --- | --- |
| 27.6 | 11.6 |
| 27.7 | 23.9 |
| 30.3 | 37.6 |
| 31.6 | 51.0 |
| 31.7 | 100.0 |
| 41.5 | 24.1 |
| 48.9 | 19.9 |
| 49.1 | 9.9 |
| 54.7 | 32.5 |
| 58.6 | 23.2 |
| 58.8 | 11.6 |
| 59.6 | 16.7 |

=====

# 4
The following is a theoretical X-ray powder pattern of SrPr3Pa4N12. It was derived from a GGA-PBE-relaxed structure, using CuKα.

Atomic structure:
abc: 7.476 7.476 7.476
angles: 109.47 109.47 109.47
Fractional positions:
Sr  0.000  0.000  0.000
Pr  0.000  0.500  0.500
Pr  0.500  0.000  0.500
Pr  0.500  0.500  0.000
Pa  0.000  0.000  0.500
Pa  0.000  0.500  0.000
Pa  0.500  0.000  0.000
Pa  0.500  0.500  0.500
N  0.086  0.295  0.791
N  0.209  0.504  0.295
N  0.209  0.914  0.705
N  0.295  0.209  0.504
N  0.295  0.791  0.086
N  0.496  0.705  0.791
N  0.504  0.295  0.209
N  0.705  0.209  0.914
N  0.705  0.791  0.496
N  0.791  0.086  0.295
N  0.791  0.496  0.705
N  0.914  0.705  0.209

Main lines, sorted by position (2θ from 15° to 90°):
| 2θ/deg | Rel. int. |
| --- | --- |
| 20.6 | 11.4 |
| 29.3 | 100.0 |
| 36.0 | 1.5 |
| 41.9 | 23.9 |
| 47.1 | 5.6 |
| 51.9 | 44.9 |
| 60.7 | 15.2 |
| 64.8 | 2.5 |
| 68.8 | 18.7 |
| 72.7 | 1.2 |
| 76.4 | 5.0 |
| 83.9 | 22.9 |

=====

# 5
The following is a theoretical X-ray powder pattern of SrCaSmBiO6. It was derived from a GGA-PBE-relaxed structure, using CuKα.

Atomic structure:
abc: 5.987 5.987 8.702
angles: 90.00 90.00 90.00
Fractional positions:
Sr  0.000  0.000  0.000
Sr  0.500  0.500  0.000
Ca  0.000  0.000  0.500
Ca  0.500  0.500  0.500
Sm  0.000  0.500  0.252
Sm  0.500  0.000  0.748
Bi  0.000  0.500  0.746
Bi  0.500  0.000  0.254
O  0.000  0.500  0.506
O  0.000  0.500  0.991
O  0.159  0.819  0.743
O  0.181  0.841  0.257
O  0.319  0.341  0.743
O  0.341  0.319  0.257
O  0.500  0.000  0.009
O  0.500  0.000  0.494
O  0.659  0.681  0.257
O  0.681  0.659  0.743
O  0.819  0.159  0.257
O  0.841  0.181  0.743

Main lines, sorted by position (2θ from 15° to 90°):
| 2θ/deg | Rel. int. |
| --- | --- |
| 20.4 | 21.3 |
| 21.0 | 35.1 |
| 29.4 | 100.0 |
| 29.8 | 59.7 |
| 41.5 | 17.4 |
| 42.7 | 27.4 |
| 52.0 | 25.3 |
| 52.7 | 48.7 |
| 61.1 | 18.3 |
| 70.3 | 12.0 |
| 84.1 | 12.9 |
| 85.1 | 14.5 |

=====

# 6
The following is a theoretical X-ray powder pattern of K2GaReN4. It was derived from a GGA-PBE-relaxed structure, using CuKα.

Atomic structure:
abc: 5.838 5.838 5.838
angles: 120.94 120.94 88.39
Fractional positions:
K  0.000  0.000  0.000
K  0.750  0.250  0.500
Ga  0.500  0.500  0.000
Re  0.250  0.750  0.500
N  0.268  0.631  0.154
N  0.369  0.523  0.637
N  0.477  0.114  0.846
N  0.886  0.732  0.363

Main lines, sorted by position (2θ from 15° to 90°):
| 2θ/deg | Rel. int. |
| --- | --- |
| 18.7 | 78.4 |
| 21.8 | 12.3 |
| 30.6 | 100.0 |
| 31.1 | 41.9 |
| 35.8 | 9.5 |
| 36.5 | 18.8 |
| 44.5 | 16.0 |
| 48.1 | 13.8 |
| 54.2 | 20.9 |
| 55.0 | 36.3 |
| 63.8 | 12.2 |
| 88.3 | 9.5 |

=====

# 7
The following is a theoretical X-ray powder pattern of LaCo2Ir. It was derived from a GGA-PBE-relaxed structure, using CuKα.

Atomic structure:
abc: 5.453 5.453 5.453
angles: 45.57 45.57 45.57
Fractional positions:
La  0.000  0.000  0.000
Co  0.185  0.185  0.185
Co  0.815  0.815  0.815
Ir  0.500  0.500  0.500

Main lines, sorted by position (2θ from 15° to 90°):
| 2θ/deg | Rel. int. |
| --- | --- |
| 18.2 | 42.5 |
| 27.3 | 94.8 |
| 34.7 | 90.2 |
| 36.9 | 44.5 |
| 42.8 | 100.0 |
| 46.9 | 21.5 |
| 56.2 | 32.5 |
| 57.7 | 71.6 |
| 69.1 | 33.5 |
| 73.2 | 25.5 |
| 78.4 | 19.8 |
| 90.0 | 21.3 |

=====

# 8
The following is a theoretical X-ray powder pattern of PmCuBiO4. It was derived from a GGA-PBE-relaxed structure, using CuKα.

Atomic structure:
abc: 5.774 5.774 7.372
angles: 90.00 90.00 115.66
Fractional positions:
Pm  0.000  0.000  0.000
Pm  0.000  0.000  0.500
Cu  0.322  0.678  0.750
Cu  0.678  0.322  0.250
Bi  0.341  0.659  0.250
Bi  0.659  0.341  0.750
O  0.238  0.762  0.523
O  0.238  0.762  0.977
O  0.249  0.257  0.750
O  0.257  0.249  0.250
O  0.743  0.751  0.750
O  0.751  0.743  0.250
O  0.762  0.238  0.023
O  0.762  0.238  0.477

Main lines, sorted by position (2θ from 15° to 90°):
| 2θ/deg | Rel. int. |
| --- | --- |
| 20.9 | 29.8 |
| 21.8 | 20.9 |
| 29.0 | 55.5 |
| 29.7 | 100.0 |
| 30.4 | 24.1 |
| 31.1 | 88.4 |
| 42.5 | 34.3 |
| 44.5 | 17.2 |
| 51.9 | 20.9 |
| 52.8 | 20.5 |
| 54.0 | 27.5 |
| 59.6 | 31.1 |

=====

# 9
The following is a theoretical X-ray powder pattern of Y2HS3. It was derived from a GGA-PBE-relaxed structure, using CuKα.

Atomic structure:
abc: 10.734 3.838 10.542
angles: 90.00 90.00 90.00
Fractional positions:
Y  0.029  0.250  0.185
Y  0.198  0.250  0.510
Y  0.302  0.750  0.010
Y  0.471  0.750  0.685
Y  0.529  0.250  0.315
Y  0.698  0.250  0.990
Y  0.802  0.750  0.490
Y  0.971  0.750  0.815
H  0.131  0.750  0.135
H  0.369  0.250  0.635
H  0.631  0.750  0.365
H  0.869  0.250  0.865
S  0.048  0.750  0.380
S  0.124  0.250  0.936
S  0.216  0.750  0.704
S  0.284  0.250  0.204
S  0.376  0.750  0.436
S  0.452  0.250  0.880
S  0.548  0.750  0.120
S  0.624  0.250  0.564
S  0.716  0.750  0.796
S  0.784  0.250  0.296
S  0.876  0.750  0.064
S  0.952  0.250  0.620

Main lines, sorted by position (2θ from 15° to 90°):
| 2θ/deg | Rel. int. |
| --- | --- |
| 23.7 | 100.0 |
| 24.7 | 46.3 |
| 26.7 | 44.9 |
| 30.0 | 65.8 |
| 33.4 | 51.7 |
| 34.6 | 56.7 |
| 35.3 | 70.0 |
| 35.6 | 97.6 |
| 38.4 | 49.3 |
| 44.6 | 77.3 |
| 47.4 | 55.7 |
| 71.5 | 49.7 |

=====

# 10
The following is a theoretical X-ray powder pattern of Th2Ga3Pd. It was derived from a GGA-PBE-relaxed structure, using CuKα.

Atomic structure:
abc: 8.777 8.606 5.950
angles: 71.54 68.44 40.02
Fractional positions:
Th  0.240  0.760  0.760
Th  0.250  0.250  0.250
Th  0.750  0.750  0.750
Th  0.760  0.240  0.240
Ga  0.170  0.664  0.336
Ga  0.336  0.336  0.664
Ga  0.336  0.830  0.170
Ga  0.664  0.170  0.830
Ga  0.664  0.664  0.336
Ga  0.830  0.336  0.664
Pd  0.169  0.169  0.831
Pd  0.831  0.831  0.169

Main lines, sorted by position (2θ from 15° to 90°):
| 2θ/deg | Rel. int. |
| --- | --- |
| 23.4 | 23.4 |
| 32.4 | 100.0 |
| 41.2 | 42.3 |
| 45.0 | 10.8 |
| 51.4 | 5.9 |
| 53.3 | 24.8 |
| 62.6 | 24.1 |
| 69.5 | 15.0 |
| 69.6 | 7.5 |
| 75.1 | 13.5 |
| 89.3 | 5.2 |
| 89.4 | 5.4 |

=====

# 11
The following is a theoretical X-ray powder pattern of Sc3Pb. It was derived from a GGA-PBE-relaxed structure, using CuKα.

Atomic structure:
abc: 6.137 6.137 6.137
angles: 148.45 63.78 126.13
Fractional positions:
Sc  0.000  0.000  0.000
Sc  0.109  0.349  0.761
Sc  0.588  0.349  0.239
Pb  0.521  0.021  0.500

Main lines, sorted by position (2θ from 15° to 90°):
| 2θ/deg | Rel. int. |
| --- | --- |
| 17.0 | 40.5 |
| 18.1 | 73.3 |
| 28.1 | 23.7 |
| 30.3 | 19.5 |
| 31.3 | 37.6 |
| 34.4 | 34.3 |
| 35.8 | 100.0 |
| 36.6 | 47.3 |
| 43.2 | 18.3 |
| 47.2 | 24.5 |
| 62.6 | 18.6 |
| 68.2 | 17.7 |

=====

# 12
The following is a theoretical X-ray powder pattern of LaSiRh. It was derived from a GGA-PBE-relaxed structure, using CuKα.

Atomic structure:
abc: 4.181 4.181 4.342
angles: 90.00 90.00 120.00
Fractional positions:
La  0.000  0.000  0.000
Si  0.333  0.667  0.500
Rh  0.667  0.333  0.500

Main lines, sorted by position (2θ from 15° to 90°):
| 2θ/deg | Rel. int. |
| --- | --- |
| 24.6 | 19.7 |
| 32.2 | 100.0 |
| 41.6 | 13.0 |
| 43.3 | 34.9 |
| 48.9 | 6.3 |
| 50.4 | 2.9 |
| 55.0 | 21.6 |
| 61.6 | 24.2 |
| 70.0 | 10.3 |
| 72.4 | 18.7 |
| 79.4 | 5.8 |
| 86.0 | 6.0 |

=====

Please write out number 1 again, unchanged.
The following is a theoretical X-ray powder pattern of Hf4Te5H. It was derived from a GGA-PBE-relaxed structure, using CuKα.

Atomic structure:
abc: 8.838 8.838 8.210
angles: 102.88 102.88 24.63
Fractional positions:
Hf  0.001  0.001  0.265
Hf  0.383  0.383  0.442
Hf  0.617  0.617  0.558
Hf  0.999  0.999  0.735
Te  0.168  0.168  0.825
Te  0.169  0.169  0.339
Te  0.500  0.500  0.000
Te  0.831  0.831  0.661
Te  0.832  0.832  0.175
H  0.500  0.500  0.500

Main lines, sorted by position (2θ from 15° to 90°):
| 2θ/deg | Rel. int. |
| --- | --- |
| 21.5 | 12.8 |
| 32.0 | 33.2 |
| 32.2 | 100.0 |
| 34.3 | 15.0 |
| 34.6 | 15.4 |
| 35.6 | 12.4 |
| 35.8 | 28.0 |
| 44.1 | 23.5 |
| 45.9 | 15.8 |
| 46.2 | 15.9 |
| 48.3 | 16.4 |
| 67.5 | 13.3 |

=====

Repeat the first record exactly.
The following is a theoretical X-ray powder pattern of Hf4Te5H. It was derived from a GGA-PBE-relaxed structure, using CuKα.

Atomic structure:
abc: 8.838 8.838 8.210
angles: 102.88 102.88 24.63
Fractional positions:
Hf  0.001  0.001  0.265
Hf  0.383  0.383  0.442
Hf  0.617  0.617  0.558
Hf  0.999  0.999  0.735
Te  0.168  0.168  0.825
Te  0.169  0.169  0.339
Te  0.500  0.500  0.000
Te  0.831  0.831  0.661
Te  0.832  0.832  0.175
H  0.500  0.500  0.500

Main lines, sorted by position (2θ from 15° to 90°):
| 2θ/deg | Rel. int. |
| --- | --- |
| 21.5 | 12.8 |
| 32.0 | 33.2 |
| 32.2 | 100.0 |
| 34.3 | 15.0 |
| 34.6 | 15.4 |
| 35.6 | 12.4 |
| 35.8 | 28.0 |
| 44.1 | 23.5 |
| 45.9 | 15.8 |
| 46.2 | 15.9 |
| 48.3 | 16.4 |
| 67.5 | 13.3 |